Structure and theoretical powder diffractogram of MgSi2 (a structure optimized by DFT (PBE); Cu Kα, 1.54184 Å).
Intensities are scaled so that the largest is 100.

Structural model:
Unit cell a=5.3975 b=5.3975 c=12.3545 alpha=107.79 beta=107.79 gamma=41.28
Fractional coordinates of all 12 atoms:
Mg: 0.1304 0.1304 0.1704
Mg: 0.3209 0.3209 0.6116
Mg: 0.6791 0.6791 0.3884
Mg: 0.8696 0.8696 0.8296
Si: 0.0450 0.0450 0.6842
Si: 0.1800 0.1800 0.8814
Si: 0.3962 0.3962 0.4127
Si: 0.4071 0.4071 0.0387
Si: 0.5929 0.5929 0.9613
Si: 0.6038 0.6038 0.5873
Si: 0.8200 0.8200 0.1186
Si: 0.9550 0.9550 0.3158

Peak list (10 most intense, 2θ from 5° to 70°, by intensity)
2θ/deg  I/Imax
38.30  100
31.12  51
47.81  39
39.56  37
27.88  35
34.14  24
49.29  24
30.62  23
50.74  20
35.66  17


Structure and theoretical powder diffractogram of Na8Be3Si9Cl2O24 (a structure optimized by DFT (PBE); Cu Kα, 1.54184 Å).
Intensities are scaled so that the largest is 100.

Structural model:
Unit cell a=7.6149 b=7.6154 c=12.4202 alpha=90.08 beta=90.13 gamma=109.57
Fractional coordinates of all 46 atoms:
Na: 0.0000 0.0000 0.0000
Na: 0.0190 0.0004 0.3660
Na: 0.3785 0.9612 0.6597
Na: 0.4820 0.7735 0.1908
Na: 0.5204 0.5030 0.4953
Na: 0.5394 0.4672 0.8600
Na: 0.8677 0.4380 0.1826
Na: 0.9704 0.2855 0.6834
Be: 0.2180 0.4308 0.3060
Be: 0.7198 0.9303 0.5541
Be: 0.8508 0.3039 0.9295
Si: 0.2152 0.4192 0.0558
Si: 0.3488 0.8007 0.4258
Si: 0.3510 0.8033 0.9316
Si: 0.4671 0.1886 0.3097
Si: 0.4860 0.1829 0.0584
Si: 0.7208 0.9337 0.8000
Si: 0.8497 0.2996 0.4352
Si: 0.9693 0.6758 0.8072
Si: 0.9697 0.6891 0.5524
Cl: 0.3453 0.3051 0.6815
Cl: 0.8477 0.8016 0.1779
O: 0.0435 0.3117 0.3804
O: 0.0551 0.3113 0.9724
O: 0.1553 0.4002 0.1790
O: 0.1944 0.7516 0.5268
O: 0.1971 0.7587 0.8340
O: 0.2836 0.6548 0.3288
O: 0.3009 0.6491 0.0276
O: 0.3456 0.0081 0.3824
O: 0.3563 0.0024 0.9844
O: 0.3961 0.3598 0.3297
O: 0.3993 0.3501 0.0327
O: 0.4448 0.1081 0.1835
O: 0.5457 0.8148 0.4774
O: 0.5497 0.8046 0.8822
O: 0.6469 0.8900 0.6794
O: 0.6918 0.2498 0.3351
O: 0.7025 0.2517 0.0316
O: 0.7872 0.1550 0.5332
O: 0.7879 0.1485 0.8340
O: 0.8482 0.5064 0.4811
O: 0.8533 0.5044 0.8793
O: 0.8963 0.8538 0.8277
O: 0.8964 0.8582 0.5313
O: 0.9552 0.6153 0.6794

Peak list (10 most intense, 2θ from 5° to 70°, by intensity)
2θ/deg  I/Imax
24.82  100
14.25  31
38.30  22
35.36  19
43.68  19
32.21  9
43.76  9
65.42  9
57.40  7
63.48  7


Structure and theoretical powder diffractogram of Ag3Bi8S13 (a structure optimized by DFT (PBE); Cu Kα, 1.54184 Å).
Intensities are scaled so that the largest is 100.

Structural model:
Unit cell a=6.9221 b=6.9221 c=21.8441 alpha=93.18 beta=93.18 gamma=35.07
Fractional coordinates of all 24 atoms:
Ag: 0.0000 0.0000 0.0000
Ag: 0.4182 0.4182 0.6246
Ag: 0.5818 0.5818 0.3754
Bi: 0.0228 0.0228 0.2135
Bi: 0.1405 0.1405 0.5417
Bi: 0.2597 0.2597 0.9191
Bi: 0.3010 0.3010 0.2962
Bi: 0.6990 0.6990 0.7038
Bi: 0.7403 0.7403 0.0809
Bi: 0.8595 0.8595 0.4583
Bi: 0.9772 0.9772 0.7865
S: 0.0642 0.0642 0.6582
S: 0.0985 0.0985 0.1031
S: 0.2226 0.2226 0.4230
S: 0.3415 0.3415 0.7351
S: 0.3555 0.3555 0.0278
S: 0.3845 0.3845 0.1861
S: 0.5000 0.5000 0.5000
S: 0.6155 0.6155 0.8139
S: 0.6445 0.6445 0.9722
S: 0.6585 0.6585 0.2649
S: 0.7774 0.7774 0.5770
S: 0.9015 0.9015 0.8969
S: 0.9358 0.9358 0.3418

Peak list (10 most intense, 2θ from 5° to 70°, by intensity)
2θ/deg  I/Imax
31.00  100
25.34  60
25.13  40
44.74  30
27.13  28
43.39  28
27.33  23
44.11  16
40.44  15
51.92  14


Structure and theoretical powder diffractogram of Nb3Co4B7 (a structure optimized by DFT (PBE); Cu Kα, 1.54184 Å).
Intensities are scaled so that the largest is 100.

Structural model:
Unit cell a=9.3405 b=9.3405 c=8.8927 alpha=90.00 beta=90.00 gamma=160.23
Fractional coordinates of all 28 atoms:
Nb: 0.0808 0.9192 0.5551
Nb: 0.0808 0.9192 0.9449
Nb: 0.1980 0.8020 0.2500
Nb: 0.8020 0.1980 0.7500
Nb: 0.9192 0.0808 0.0551
Nb: 0.9192 0.0808 0.4449
Co: 0.0422 0.9578 0.2500
Co: 0.3010 0.6990 0.5051
Co: 0.3010 0.6990 0.9949
Co: 0.3438 0.6562 0.2500
Co: 0.6562 0.3438 0.7500
Co: 0.6990 0.3010 0.0051
Co: 0.6990 0.3010 0.4949
Co: 0.9578 0.0422 0.7500
B: 0.2101 0.7899 0.6448
B: 0.2101 0.7899 0.8552
B: 0.3903 0.6097 0.6477
B: 0.3903 0.6097 0.8523
B: 0.4554 0.5446 0.2500
B: 0.4846 0.5154 0.5934
B: 0.4846 0.5154 0.9066
B: 0.5154 0.4846 0.0934
B: 0.5154 0.4846 0.4066
B: 0.5446 0.4554 0.7500
B: 0.6097 0.3903 0.1477
B: 0.6097 0.3903 0.3523
B: 0.7899 0.2101 0.1448
B: 0.7899 0.2101 0.3552

Peak list (10 most intense, 2θ from 5° to 70°, by intensity)
2θ/deg  I/Imax
42.56  100
41.79  64
40.58  28
28.25  27
39.16  27
57.48  27
35.56  23
45.78  23
30.02  22
31.71  22


Structure and theoretical powder diffractogram of NaGeAu (a structure optimized by DFT (PBE); Cu Kα, 1.54184 Å).
Intensities are scaled so that the largest is 100.

Structural model:
Unit cell a=5.7598 b=5.7598 c=5.7598 alpha=133.88 beta=100.44 gamma=97.22
Fractional coordinates of all 6 atoms:
Na: 0.0000 0.0000 0.0000
Na: 0.6262 0.1262 0.5000
Ge: 0.0551 0.7306 0.3245
Ge: 0.4061 0.7306 0.6755
Au: 0.2041 0.4067 0.7974
Au: 0.6092 0.4067 0.2026

Peak list (10 most intense, 2θ from 5° to 70°, by intensity)
2θ/deg  I/Imax
22.91  100
33.53  87
40.78  72
24.15  60
38.50  46
47.96  46
23.36  44
39.96  43
16.74  41
48.49  40